For Mg3NbRh4, the GGA-PBE geometry in Alexandria gives the simulated powder XRD pattern in this record (Cu Kα).
Intensities are scaled so that the largest is 100.

Cell and atoms:
Cell: 3.2230 4.4333 8.7113 Å, 90.00 90.00 90.00°
Space group Pmmm (No. 47)
Asymmetric unit:
Mg 0.0000 0.0000 0.0000 [1 per cell]
Mg 0.0000 0.5000 0.2431 [2 per cell]
Nb 0.0000 0.0000 0.5000 [1 per cell]
Rh 0.5000 0.0000 0.2635 [2 per cell]
Rh 0.5000 0.5000 0.0000 [1 per cell]
Rh 0.5000 0.5000 0.5000 [1 per cell]

Largest 10 diffraction maxima, low angle first, 2θ from 15° to 90°:
2θ/deg, I/Imax, hkl
27.68, 12, 1 0 0
28.73, 22, 0 1 2
40.32, 100, 1 1 2
40.70, 25, 0 2 0
41.46, 22, 0 0 4
57.16, 9, 2 0 0
59.50, 15, 0 2 4
73.82, 16, 1 3 2
74.86, 14, 1 1 6
87.15, 10, 2 2 4

For MgNbZnRu, the GGA-PBE geometry in Alexandria gives the simulated powder XRD pattern in this record (Cu Kα).
Intensities are scaled so that the largest is 100.

Cell and atoms:
Cell: 6.3426 6.3426 6.3426 Å, 90.00 90.00 90.00°
Space group F-43m (No. 216)
Asymmetric unit:
Mg 0.0000 0.0000 0.0000 [4 per cell]
Nb 0.0000 0.0000 0.5000 [4 per cell]
Zn 0.2500 0.2500 0.2500 [4 per cell]
Ru 0.2500 0.2500 0.7500 [4 per cell]

Largest 10 diffraction maxima, low angle first, 2θ from 15° to 90°:
2θ/deg, I/Imax, hkl
24.31, 17, 1 1 1
28.14, 4, 2 0 0
40.22, 100, 2 2 0
47.55, 8, 3 1 1
58.18, 16, 4 0 0
63.99, 3, 3 3 1
65.85, 1, 4 2 0
73.09, 32, 4 2 2
78.33, 3, 5 1 1
86.88, 10, 4 4 0

For Mg6NbSb, the GGA-PBE geometry in Alexandria gives the simulated powder XRD pattern in this record (Cu Kα).
Intensities are scaled so that the largest is 100.

Cell and atoms:
Cell: 5.0108 6.3813 10.7039 Å, 90.00 90.00 90.00°
Space group Amm2 (No. 38)
Asymmetric unit:
Mg 0.0000 0.0000 0.0000 [2 per cell]
Mg 0.0000 0.2418 0.2541 [4 per cell]
Mg 0.5000 0.0000 0.1682 [2 per cell]
Mg 0.5000 0.2458 0.4194 [4 per cell]
Nb 0.0000 0.0000 0.5033 [2 per cell]
Sb 0.5000 0.0000 0.6610 [2 per cell]

Largest 10 diffraction maxima, low angle first, 2θ from 15° to 90°:
2θ/deg, I/Imax, hkl
16.17, 87, 0 1 1
24.06, 21, 1 1 1
24.33, 30, 1 0 2
32.68, 29, 0 2 2
33.89, 36, 1 1 3
35.84, 39, 2 0 0
37.40, 100, 1 2 2
38.12, 53, 1 0 4
65.44, 19, 3 2 2
71.33, 35, 2 2 6

For MgNbSe, the GGA-PBE geometry in Alexandria gives the simulated powder XRD pattern in this record (Cu Kα).
Intensities are scaled so that the largest is 100.

Cell and atoms:
Cell: 12.4749 3.3464 5.7973 Å, 90.00 90.00 90.00°
Space group Amm2 (No. 38)
Asymmetric unit:
Mg 0.1828 0.0000 0.0000 [4 per cell]
Nb 0.0000 0.0000 0.3330 [2 per cell]
Nb 0.5000 0.0000 0.9979 [2 per cell]
Se 0.3594 0.0000 0.3314 [4 per cell]

Largest 10 diffraction maxima, low angle first, 2θ from 15° to 90°:
2θ/deg, I/Imax, hkl
30.85, 39, 0 1 1
31.69, 8, 1 1 1
37.84, 100, 3 1 1
42.58, 10, 4 0 2
43.53, 10, 6 0 0
48.12, 13, 5 1 1
54.30, 9, 6 0 2
54.86, 24, 0 2 0
68.58, 17, 3 2 2
72.51, 13, 6 2 0

For Mg14NbSn, the GGA-PBE geometry in Alexandria gives the simulated powder XRD pattern in this record (Cu Kα).
Intensities are scaled so that the largest is 100.

Cell and atoms:
Cell: 6.3515 6.3515 10.1132 Å, 90.00 90.00 120.00°
Space group P-6m2 (No. 187)
Asymmetric unit:
Mg 0.0000 0.0000 0.2481 [2 per cell]
Mg 0.0103 0.5052 0.2449 [6 per cell]
Mg 0.3325 0.1662 0.5000 [3 per cell]
Mg 0.3358 0.1679 0.0000 [3 per cell]
Nb 0.3333 0.6667 0.0000 [1 per cell]
Sn 0.3333 0.6667 0.5000 [1 per cell]

Largest 10 diffraction maxima, low angle first, 2θ from 15° to 90°:
2θ/deg, I/Imax, hkl
16.11, 45, 1 0 0
23.90, 31, 1 0 2
32.56, 29, 2 0 0
33.32, 14, 1 1 2
35.51, 25, 0 0 4
37.22, 100, 2 0 2
48.94, 18, 2 0 4
58.09, 17, 2 2 0
64.88, 19, 2 0 6
69.96, 19, 2 2 4

For MgNbTe, the GGA-PBE geometry in Alexandria gives the simulated powder XRD pattern in this record (Cu Kα).
Intensities are scaled so that the largest is 100.

Cell and atoms:
Cell: 13.3877 3.4822 6.0351 Å, 90.00 90.00 90.00°
Space group Amm2 (No. 38)
Asymmetric unit:
Mg 0.1657 0.0000 0.0000 [4 per cell]
Nb 0.0000 0.0000 0.6665 [2 per cell]
Nb 0.5000 0.0000 0.8878 [2 per cell]
Te 0.3567 0.0000 0.5569 [4 per cell]

Largest 10 diffraction maxima, low angle first, 2θ from 15° to 90°:
2θ/deg, I/Imax, hkl
19.90, 16, 3 0 0
29.61, 44, 0 1 1
30.37, 14, 1 0 2
32.56, 15, 2 1 1
35.94, 100, 3 1 1
40.25, 29, 4 0 2
40.43, 14, 6 0 0
52.55, 17, 0 2 0
53.02, 18, 1 1 3
73.55, 11, 7 1 3

For MgTi2Nb2, the GGA-PBE geometry in Alexandria gives the simulated powder XRD pattern in this record (Cu Kα).
Intensities are scaled so that the largest is 100.

Cell and atoms:
Cell: 7.4112 7.4112 3.4543 Å, 90.00 90.00 90.00°
Space group P4/mbm (No. 127)
Asymmetric unit:
Mg 0.0000 0.0000 0.0000 [2 per cell]
Ti 0.1636 0.3364 0.5000 [4 per cell]
Nb 0.1310 0.6310 0.0000 [4 per cell]

Largest 10 diffraction maxima, low angle first, 2θ from 15° to 90°:
2θ/deg, I/Imax, hkl
16.92, 34, 1 1 0
25.79, 11, 0 0 1
26.90, 12, 2 1 0
37.61, 100, 2 1 1
38.41, 33, 3 1 0
49.18, 12, 4 0 0
51.75, 13, 3 2 1
53.02, 10, 0 0 2
67.35, 12, 3 1 2
74.17, 15, 5 2 1

For Mg14TiNb, the GGA-PBE geometry in Alexandria gives the simulated powder XRD pattern in this record (Cu Kα).
Intensities are scaled so that the largest is 100.

Cell and atoms:
Cell: 10.1773 6.1272 11.1189 Å, 90.00 90.00 90.00°
Space group Amm2 (No. 38)
Asymmetric unit:
Mg 0.0000 0.0000 0.0000 [2 per cell]
Mg 0.0000 0.0000 0.4992 [2 per cell]
Mg 0.0000 0.2499 0.2505 [4 per cell]
Mg 0.2556 0.0000 0.6585 [4 per cell]
Mg 0.2571 0.0000 0.1587 [4 per cell]
Mg 0.2601 0.2480 0.9164 [8 per cell]
Mg 0.5000 0.2504 0.2529 [4 per cell]
Ti 0.5000 0.0000 0.5020 [2 per cell]
Nb 0.5000 0.0000 0.0037 [2 per cell]

Largest 10 diffraction maxima, low angle first, 2θ from 15° to 90°:
2θ/deg, I/Imax, hkl
18.18, 16, 1 0 2
33.40, 33, 0 2 2
35.28, 42, 4 0 0
36.84, 61, 2 0 4
37.91, 100, 2 2 2
49.36, 19, 4 2 2
58.18, 18, 0 2 6
65.05, 18, 6 2 2
69.90, 20, 4 2 6
72.92, 15, 2 4 4